For CeNiSnH2, a PBE-relaxed structure gives the simulated X-ray diffraction stick pattern in this record (Cu Kα (weighted mean of Kα1 and Kα2)).
No peak broadening, texture or thermal motion is included.

Principal peaks in the range 2θ = 10–90°, by angle:
- 25.84 deg, rel. 7
- 31.89 deg, rel. 100
- 41.32 deg, rel. 50
- 43.27 deg, rel. 14
- 53.13 deg, rel. 24
- 61.37 deg, rel. 30
- 69.45 deg, rel. 21
- 72.22 deg, rel. 10
- 75.35 deg, rel. 8
- 86.77 deg, rel. 6

Structural model:
Unit cell a=4.370 b=4.370 c=8.364 alpha=90.00 beta=90.00 gamma=120.00
Sites, in units of the cell vectors:
1 Ce 0.000 0.000 0.000
2 Ce 0.000 0.000 0.500
3 Ni 0.333 0.667 0.250
4 Ni 0.667 0.333 0.750
5 Sn 0.333 0.667 0.750
6 Sn 0.667 0.333 0.250
7 H 0.333 0.667 0.057
8 H 0.333 0.667 0.443
9 H 0.667 0.333 0.557
10 H 0.667 0.333 0.943

For ZrNbB4, a PBE-relaxed structure gives the simulated X-ray diffraction stick pattern in this record (Cu Kα (weighted mean of Kα1 and Kα2)).
No peak broadening, texture or thermal motion is included.

Principal peaks in the range 2θ = 10–90°, by angle:
- 25.92 deg, rel. 36
- 32.85 deg, rel. 73
- 42.31 deg, rel. 100
- 53.31 deg, rel. 9
- 58.64 deg, rel. 21
- 64.05 deg, rel. 21
- 65.18 deg, rel. 17
- 68.87 deg, rel. 8
- 74.94 deg, rel. 17
- 83.23 deg, rel. 15

Structural model:
Unit cell a=3.148 b=3.148 c=6.874 alpha=90.00 beta=90.00 gamma=120.00
Sites, in units of the cell vectors:
1 Zr 0.000 0.000 0.000
2 Nb 0.000 0.000 0.500
3 B 0.333 0.667 0.258
4 B 0.333 0.667 0.742
5 B 0.667 0.333 0.258
6 B 0.667 0.333 0.742

For Nb6Sn5, a PBE-relaxed structure gives the simulated X-ray diffraction stick pattern in this record (Cu Kα (weighted mean of Kα1 and Kα2)).
No peak broadening, texture or thermal motion is included.

Principal peaks in the range 2θ = 10–90°, by angle:
- 32.88 deg, rel. 23
- 36.74 deg, rel. 17
- 37.17 deg, rel. 88
- 38.04 deg, rel. 58
- 38.55 deg, rel. 100
- 38.70 deg, rel. 40
- 39.29 deg, rel. 27
- 55.39 deg, rel. 24
- 67.25 deg, rel. 17
- 77.84 deg, rel. 20

Structural model:
Unit cell a=10.095 b=10.095 c=10.095 alpha=147.23 beta=125.10 gamma=65.43
Sites, in units of the cell vectors:
1 Nb 0.000 0.000 0.500
2 Nb 0.000 0.500 0.000
3 Nb 0.145 0.416 0.729
4 Nb 0.154 0.154 0.000
5 Nb 0.313 0.584 0.729
6 Nb 0.500 0.000 0.000
7 Nb 0.500 0.260 0.760
8 Nb 0.500 0.500 0.500
9 Nb 0.500 0.740 0.240
10 Nb 0.687 0.416 0.271
11 Nb 0.846 0.846 0.000
12 Nb 0.855 0.584 0.271
13 Sn 0.000 0.244 0.244
14 Sn 0.000 0.756 0.756
15 Sn 0.203 0.896 0.307
16 Sn 0.206 0.706 0.500
17 Sn 0.332 0.332 0.000
18 Sn 0.410 0.104 0.307
19 Sn 0.590 0.896 0.693
20 Sn 0.668 0.668 0.000
21 Sn 0.794 0.294 0.500
22 Sn 0.797 0.104 0.693

Q: Which formula does entry 2 have?
A: ZrNbB4